# 1
Structure and computed X-ray powder pattern of Mg5Si6 (a crystal structure in Alexandria, relaxed with GGA-PBE; CuKα).

Crystal structure
Unit cell a=7.345 b=3.743 c=14.875 alpha=90.00 beta=90.02 gamma=90.00
Space group Pm (No. 6)
Unique sites:
Mg 0.000 0.000 0.000 (multiplicity 1)
Mg 0.003 0.000 0.664 (multiplicity 1)
Mg 0.071 0.000 0.263 (multiplicity 1)
Mg 0.336 0.500 0.710 (multiplicity 1)
Mg 0.350 0.500 0.961 (multiplicity 1)
Mg 0.411 0.500 0.277 (multiplicity 1)
Mg 0.544 0.000 0.572 (multiplicity 1)
Mg 0.594 0.000 0.823 (multiplicity 1)
Mg 0.764 0.500 0.159 (multiplicity 1)
Mg 0.948 0.000 0.448 (multiplicity 1)
Si 0.138 0.500 0.125 (multiplicity 1)
Si 0.196 0.000 0.834 (multiplicity 1)
Si 0.205 0.500 0.534 (multiplicity 1)
Si 0.306 0.000 0.431 (multiplicity 1)
Si 0.352 0.000 0.132 (multiplicity 1)
Si 0.623 0.000 0.036 (multiplicity 1)
Si 0.650 0.500 0.414 (multiplicity 1)
Si 0.713 0.000 0.310 (multiplicity 1)
Si 0.721 0.500 0.705 (multiplicity 1)
Si 0.732 0.500 0.942 (multiplicity 1)
Si 0.829 0.500 0.555 (multiplicity 1)
Si 0.973 0.500 0.821 (multiplicity 1)

Largest 10 diffraction maxima, low angle first, 2θ from 10° to 90°:
two_theta  d [Å]  intensity  index
32.35  2.767  70  1 1 -3
34.20  2.622  31  2 1 0
36.18  2.483  100  1 1 4
36.33  2.473  51  2 1 -2
38.68  2.328  58  0 1 5
38.86  2.317  42  2 1 3
41.13  2.195  34  3 0 3
42.17  2.143  63  2 1 -4
42.54  2.125  31  0 0 7
48.64  1.872  64  0 2 0

# 2
Structure and computed X-ray powder pattern of Mg3Si4 (a crystal structure in Alexandria, relaxed with GGA-PBE; CuKα).

Crystal structure
Unit cell a=13.819 b=4.546 c=8.468 alpha=90.00 beta=106.50 gamma=90.00
Space group Cm (No. 8)
Unique sites:
Mg 0.000 0.000 0.000 (multiplicity 2)
Mg 0.032 0.000 0.365 (multiplicity 2)
Mg 0.070 0.500 0.621 (multiplicity 2)
Mg 0.224 0.500 0.406 (multiplicity 2)
Mg 0.287 0.500 0.802 (multiplicity 2)
Mg 0.367 0.000 0.377 (multiplicity 2)
Si 0.040 0.500 0.186 (multiplicity 2)
Si 0.136 0.500 0.975 (multiplicity 2)
Si 0.138 0.000 0.831 (multiplicity 2)
Si 0.223 0.000 0.600 (multiplicity 2)
Si 0.311 0.500 0.143 (multiplicity 2)
Si 0.361 0.000 0.037 (multiplicity 2)
Si 0.401 0.000 0.760 (multiplicity 2)
Si 0.455 0.500 0.646 (multiplicity 2)

Largest 10 diffraction maxima, low angle first, 2θ from 10° to 90°:
two_theta  d [Å]  intensity  index
10.90  8.120  13  0 0 1
31.95  2.801  15  4 0 1
39.12  2.302  100  3 1 -3
39.36  2.289  31  5 1 0
39.48  2.282  41  3 1 2
39.65  2.273  44  0 2 0
56.92  1.618  12  6 2 -1
70.59  1.334  9  6 0 -6
71.59  1.318  13  3 3 -3
71.81  1.315  10  3 3 2

# 3
Structure and computed X-ray powder pattern of Mg3Si4 (a crystal structure in Alexandria, relaxed with GGA-PBE; CuKα).

Crystal structure
Unit cell a=6.756 b=7.570 c=11.417 alpha=71.79 beta=85.44 gamma=73.25
Space group P1 (No. 1)
Unique sites:
Mg 0.000 0.000 0.000 (multiplicity 1)
Mg 0.009 0.744 0.596 (multiplicity 1)
Mg 0.050 0.406 0.305 (multiplicity 1)
Mg 0.178 0.813 0.293 (multiplicity 1)
Mg 0.213 0.098 0.670 (multiplicity 1)
Mg 0.284 0.259 0.092 (multiplicity 1)
Mg 0.498 0.730 0.552 (multiplicity 1)
Mg 0.532 0.405 0.284 (multiplicity 1)
Mg 0.542 0.032 0.925 (multiplicity 1)
Mg 0.693 0.178 0.578 (multiplicity 1)
Mg 0.765 0.415 0.772 (multiplicity 1)
Mg 0.861 0.605 0.027 (multiplicity 1)
Si 0.157 0.287 0.858 (multiplicity 1)
Si 0.173 0.032 0.451 (multiplicity 1)
Si 0.191 0.600 0.835 (multiplicity 1)
Si 0.224 0.644 0.113 (multiplicity 1)
Si 0.278 0.456 0.496 (multiplicity 1)
Si 0.390 0.401 0.702 (multiplicity 1)
Si 0.461 0.626 0.944 (multiplicity 1)
Si 0.462 0.021 0.313 (multiplicity 1)
Si 0.565 0.790 0.177 (multiplicity 1)
Si 0.597 0.824 0.755 (multiplicity 1)
Si 0.660 0.292 0.017 (multiplicity 1)
Si 0.783 0.749 0.349 (multiplicity 1)
Si 0.824 0.044 0.380 (multiplicity 1)
Si 0.903 0.468 0.526 (multiplicity 1)
Si 0.906 0.215 0.174 (multiplicity 1)
Si 0.909 0.896 0.796 (multiplicity 1)

Largest 10 diffraction maxima, low angle first, 2θ from 10° to 90°:
two_theta  d [Å]  intensity  index
31.32  2.856  55  2 2 1
34.78  2.580  52  0 2 -2
35.36  2.538  71  0 2 4
35.68  2.516  80  -2 1 2
35.79  2.509  100  2 -1 1
35.87  2.503  77  2 2 3
37.53  2.397  44  2 0 3
41.88  2.157  65  2 3 3
42.54  2.125  37  0 3 -1
43.87  2.064  53  1 0 -5

# 4
Structure and computed X-ray powder pattern of Mg4Si23 (a crystal structure in Alexandria, relaxed with GGA-PBE; CuKα).

Crystal structure
Unit cell a=10.204 b=10.204 c=10.204 alpha=90.00 beta=90.00 gamma=90.00
Space group Pm-3n (No. 223)
Unique sites:
Mg 0.000 0.000 0.000 (multiplicity 2)
Mg 0.000 0.250 0.500 (multiplicity 6)
Si 0.000 0.309 0.117 (multiplicity 24)
Si 0.000 0.500 0.250 (multiplicity 6)
Si 0.183 0.183 0.183 (multiplicity 16)

Largest 10 diffraction maxima, low angle first, 2θ from 10° to 90°:
two_theta  d [Å]  intensity  index
19.45  4.564  16  2 1 0
30.34  2.946  33  2 2 2
31.61  2.830  35  3 2 0
32.84  2.727  100  3 2 1
36.30  2.475  21  4 1 0
37.39  2.405  12  3 3 0
52.27  1.750  53  5 3 0
53.10  1.725  18  5 3 1
53.91  1.701  21  6 0 0
55.51  1.655  45  5 3 2

# 5
Structure and computed X-ray powder pattern of Mg3Si4 (a crystal structure in Alexandria, relaxed with GGA-PBE; CuKα).

Crystal structure
Unit cell a=5.301 b=7.111 c=7.863 alpha=113.62 beta=90.41 gamma=102.92
Space group P1 (No. 1)
Unique sites:
Mg 0.000 0.000 0.000 (multiplicity 1)
Mg 0.012 0.900 0.500 (multiplicity 1)
Mg 0.111 0.472 0.210 (multiplicity 1)
Mg 0.337 0.286 0.473 (multiplicity 1)
Mg 0.624 0.602 0.046 (multiplicity 1)
Mg 0.658 0.170 0.748 (multiplicity 1)
Si 0.061 0.586 0.864 (multiplicity 1)
Si 0.190 0.271 0.822 (multiplicity 1)
Si 0.462 0.860 0.906 (multiplicity 1)
Si 0.479 0.864 0.366 (multiplicity 1)
Si 0.529 0.714 0.585 (multiplicity 1)
Si 0.555 0.229 0.128 (multiplicity 1)
Si 0.808 0.166 0.357 (multiplicity 1)
Si 0.884 0.535 0.564 (multiplicity 1)

Largest 10 diffraction maxima, low angle first, 2θ from 10° to 90°:
two_theta  d [Å]  intensity  index
28.35  3.148  45  1 -1 2
33.48  2.677  42  0 1 2
34.25  2.618  100  0 1 -3
34.80  2.578  60  -1 1 2
35.83  2.506  81  2 -1 1
36.93  2.434  88  1 2 0
39.12  2.303  64  1 -3 1
39.39  2.288  37  1 -2 3
42.93  2.107  93  2 1 -2
45.05  2.012  45  -1 2 2

# 6
Structure and computed X-ray powder pattern of Mg3Si4 (a crystal structure in Alexandria, relaxed with GGA-PBE; CuKα).

Crystal structure
Unit cell a=5.293 b=7.511 c=7.649 alpha=61.76 beta=72.61 gamma=79.33
Space group P1 (No. 1)
Unique sites:
Mg 0.000 0.000 0.000 (multiplicity 1)
Mg 0.044 0.708 0.470 (multiplicity 1)
Mg 0.216 0.210 0.491 (multiplicity 1)
Mg 0.407 0.737 0.707 (multiplicity 1)
Mg 0.645 0.518 0.372 (multiplicity 1)
Mg 0.870 0.505 0.976 (multiplicity 1)
Si 0.226 0.575 0.148 (multiplicity 1)
Si 0.270 0.355 0.746 (multiplicity 1)
Si 0.404 0.301 0.040 (multiplicity 1)
Si 0.494 0.953 0.277 (multiplicity 1)
Si 0.517 0.850 0.007 (multiplicity 1)
Si 0.765 0.359 0.740 (multiplicity 1)
Si 0.767 0.121 0.366 (multiplicity 1)
Si 0.863 0.917 0.700 (multiplicity 1)

Largest 10 diffraction maxima, low angle first, 2θ from 10° to 90°:
two_theta  d [Å]  intensity  index
33.18  2.700  45  1 -2 0
34.39  2.608  61  2 1 1
35.49  2.529  61  0 2 -1
36.76  2.445  72  1 2 3
37.50  2.398  41  2 1 0
37.77  2.382  40  1 3 2
37.98  2.369  100  -1 2 2
38.92  2.314  51  1 -2 1
39.10  2.304  39  2 2 2
41.43  2.180  65  0 0 3

# 7
Structure and computed X-ray powder pattern of Mg3Si4 (a crystal structure in Alexandria, relaxed with GGA-PBE; CuKα).

Crystal structure
Unit cell a=6.186 b=6.392 c=7.496 alpha=79.09 beta=79.11 gamma=71.91
Space group P1 (No. 1)
Unique sites:
Mg 0.000 0.000 0.000 (multiplicity 1)
Mg 0.089 0.460 0.048 (multiplicity 1)
Mg 0.277 0.451 0.569 (multiplicity 1)
Mg 0.618 0.300 0.230 (multiplicity 1)
Mg 0.721 0.464 0.793 (multiplicity 1)
Mg 0.833 0.768 0.402 (multiplicity 1)
Si 0.289 0.014 0.391 (multiplicity 1)
Si 0.294 0.701 0.225 (multiplicity 1)
Si 0.367 0.828 0.687 (multiplicity 1)
Si 0.409 0.117 0.852 (multiplicity 1)
Si 0.564 0.916 0.121 (multiplicity 1)
Si 0.729 0.099 0.608 (multiplicity 1)
Si 0.959 0.321 0.425 (multiplicity 1)
Si 0.986 0.770 0.748 (multiplicity 1)

Largest 10 diffraction maxima, low angle first, 2θ from 10° to 90°:
two_theta  d [Å]  intensity  index
14.72  6.016  27  0 1 0
24.11  3.691  27  1 -1 0
33.78  2.653  36  1 1 -2
34.03  2.634  39  1 2 2
34.55  2.596  100  1 -1 2
34.73  2.583  43  2 0 -1
34.91  2.570  50  2 1 -1
35.49  2.529  84  2 2 1
38.75  2.324  40  -1 2 1
53.02  1.727  32  3 1 3

# 8
Structure and computed X-ray powder pattern of Mg4Si7 (a crystal structure in Alexandria, relaxed with GGA-PBE; CuKα).

Crystal structure
Unit cell a=4.203 b=7.174 c=13.814 alpha=88.01 beta=84.03 gamma=83.83
Space group P1 (No. 1)
Unique sites:
Mg 0.000 0.000 0.000 (multiplicity 1)
Mg 0.002 0.489 0.080 (multiplicity 1)
Mg 0.462 0.796 0.150 (multiplicity 1)
Mg 0.532 0.982 0.820 (multiplicity 1)
Mg 0.641 0.555 0.747 (multiplicity 1)
Mg 0.869 0.914 0.464 (multiplicity 1)
Mg 0.911 0.084 0.230 (multiplicity 1)
Mg 0.921 0.622 0.309 (multiplicity 1)
Si 0.064 0.679 0.872 (multiplicity 1)
Si 0.098 0.840 0.710 (multiplicity 1)
Si 0.115 0.325 0.855 (multiplicity 1)
Si 0.190 0.579 0.603 (multiplicity 1)
Si 0.252 0.270 0.682 (multiplicity 1)
Si 0.367 0.226 0.371 (multiplicity 1)
Si 0.389 0.897 0.335 (multiplicity 1)
Si 0.447 0.182 0.097 (multiplicity 1)
Si 0.470 0.412 0.221 (multiplicity 1)
Si 0.531 0.687 0.964 (multiplicity 1)
Si 0.575 0.340 0.943 (multiplicity 1)
Si 0.714 0.587 0.517 (multiplicity 1)
Si 0.811 0.125 0.627 (multiplicity 1)
Si 0.825 0.290 0.457 (multiplicity 1)

Largest 10 diffraction maxima, low angle first, 2θ from 10° to 90°:
two_theta  d [Å]  intensity  index
22.97  3.872  29  1 0 -1
32.56  2.750  29  1 2 -1
35.55  2.526  93  1 2 3
36.73  2.447  75  0 2 -4
37.22  2.416  53  1 1 -4
37.85  2.377  36  -1 2 2
38.35  2.347  38  -1 1 4
38.56  2.335  64  0 3 -1
40.49  2.228  41  1 -1 5
43.35  2.087  100  2 0 1

# 9
Structure and computed X-ray powder pattern of Mg3Si4 (a crystal structure in Alexandria, relaxed with GGA-PBE; CuKα).

Crystal structure
Unit cell a=6.278 b=6.483 c=7.488 alpha=66.67 beta=71.53 gamma=83.04
Space group P1 (No. 1)
Unique sites:
Mg 0.000 0.000 0.000 (multiplicity 1)
Mg 0.091 0.473 0.605 (multiplicity 1)
Mg 0.415 0.101 0.232 (multiplicity 1)
Mg 0.597 0.289 0.483 (multiplicity 1)
Mg 0.697 0.737 0.463 (multiplicity 1)
Mg 0.815 0.508 0.009 (multiplicity 1)
Si 0.108 0.543 0.210 (multiplicity 1)
Si 0.291 0.521 0.866 (multiplicity 1)
Si 0.320 0.929 0.677 (multiplicity 1)
Si 0.452 0.673 0.219 (multiplicity 1)
Si 0.582 0.943 0.869 (multiplicity 1)
Si 0.645 0.321 0.821 (multiplicity 1)
Si 0.945 0.899 0.632 (multiplicity 1)
Si 0.982 0.156 0.292 (multiplicity 1)

Largest 10 diffraction maxima, low angle first, 2θ from 10° to 90°:
two_theta  d [Å]  intensity  index
30.02  2.977  23  0 2 0
31.82  2.812  47  1 2 2
32.92  2.721  32  2 1 2
33.57  2.669  92  1 -2 0
34.86  2.573  42  1 0 -2
37.60  2.392  100  0 2 -1
38.33  2.348  36  2 2 2
39.43  2.285  39  1 0 3
40.84  2.210  21  0 2 3
43.48  2.081  29  2 0 3

# 10
Structure and computed X-ray powder pattern of Mg3Si4 (a crystal structure in Alexandria, relaxed with GGA-PBE; CuKα).

Crystal structure
Unit cell a=5.349 b=7.105 c=7.853 alpha=65.41 beta=84.47 gamma=73.65
Space group P1 (No. 1)
Unique sites:
Mg 0.000 0.000 0.000 (multiplicity 1)
Mg 0.008 0.942 0.407 (multiplicity 1)
Mg 0.183 0.548 0.292 (multiplicity 1)
Mg 0.508 0.726 0.895 (multiplicity 1)
Mg 0.554 0.827 0.266 (multiplicity 1)
Mg 0.886 0.442 0.671 (multiplicity 1)
Si 0.029 0.694 0.856 (multiplicity 1)
Si 0.345 0.564 0.650 (multiplicity 1)
Si 0.410 0.177 0.859 (multiplicity 1)
Si 0.433 0.116 0.432 (multiplicity 1)
Si 0.519 0.285 0.095 (multiplicity 1)
Si 0.727 0.401 0.360 (multiplicity 1)
Si 0.756 0.069 0.668 (multiplicity 1)
Si 0.958 0.346 0.093 (multiplicity 1)

Largest 10 diffraction maxima, low angle first, 2θ from 10° to 90°:
two_theta  d [Å]  intensity  index
33.65  2.664  44  0 1 -2
34.46  2.603  53  0 1 3
35.86  2.504  70  0 2 -1
36.95  2.433  55  2 0 -1
37.05  2.427  66  0 2 3
37.56  2.394  63  1 -2 0
39.41  2.287  80  2 1 2
40.17  2.245  100  2 2 2
42.40  2.132  45  1 3 0
45.75  1.983  48  2 1 -2

# 11
Structure and computed X-ray powder pattern of Mg3Si4 (a crystal structure in Alexandria, relaxed with GGA-PBE; CuKα).

Crystal structure
Unit cell a=8.364 b=3.969 c=8.459 alpha=90.00 beta=113.71 gamma=90.00
Space group Pm (No. 6)
Unique sites:
Mg 0.000 0.000 0.000 (multiplicity 1)
Mg 0.004 0.000 0.427 (multiplicity 1)
Mg 0.323 0.500 0.039 (multiplicity 1)
Mg 0.363 0.500 0.662 (multiplicity 1)
Mg 0.577 0.000 0.969 (multiplicity 1)
Mg 0.687 0.000 0.631 (multiplicity 1)
Si 0.172 0.500 0.274 (multiplicity 1)
Si 0.184 0.000 0.781 (multiplicity 1)
Si 0.344 0.000 0.411 (multiplicity 1)
Si 0.546 0.000 0.275 (multiplicity 1)
Si 0.727 0.500 0.386 (multiplicity 1)
Si 0.737 0.500 0.861 (multiplicity 1)
Si 0.859 0.500 0.173 (multiplicity 1)
Si 0.971 0.500 0.687 (multiplicity 1)

Largest 10 diffraction maxima, low angle first, 2θ from 10° to 90°:
two_theta  d [Å]  intensity  index
25.28  3.523  36  2 0 -2
32.28  2.774  48  0 1 2
32.49  2.756  79  2 1 0
34.04  2.634  99  2 1 -2
37.56  2.395  79  1 1 2
37.68  2.387  87  2 1 1
38.35  2.347  40  3 0 -3
39.25  2.295  100  1 1 -3
40.58  2.223  39  3 1 -2
45.72  1.984  97  0 2 0